# 1
For MnZn2SbO6, a cell relaxed with GGA+U gives the computed powder XRD pattern in this record (Cu Kα, 1.54184 Å).

Largest 12 diffraction maxima, sorted by position, 2θ = 15–90°:
2θ/deg  I (rel.)  hkl
28.68  16  1 2 0
32.74  100  1 2 -1
33.47  44  0 0 2
33.77  41  2 0 0
33.91  81  1 2 1
46.52  23  2 0 -2
47.42  24  0 4 0
58.61  22  1 2 -3
59.00  21  3 2 -1
59.28  20  0 4 2
59.48  21  2 4 0
60.85  18  1 2 3

Structure:
```
data_MnZn2SbO6
_chemical_formula_sum 'Mn2 Zn4 Sb2 O12'
_symmetry_space_group_name_H-M 'P 1 21/m 1'
_symmetry_Int_Tables_number 11
_cell_length_a 5.3207
_cell_length_b 7.6683
_cell_length_c 5.3675
_cell_angle_alpha 90.00
_cell_angle_beta 93.86
_cell_angle_gamma 90.00
loop_
_symmetry_equiv_pos_as_xyz
'x,y,z'
'-x,-y,-z'
'-x,y+1/2,-z'
'x,-y+1/2,z'
loop_
_atom_site_label
_atom_site_fract_x
_atom_site_fract_y
_atom_site_fract_z
Mn1 0.0000 0.0000 0.0000
Zn1 0.0140 0.2500 0.5410
Zn2 0.4470 0.7500 0.9786
Sb1 0.5000 0.0000 0.5000
O1 0.0816 0.7500 0.1009
O2 0.1922 0.5706 0.6556
O3 0.3225 0.0634 0.1696
O4 0.4105 0.2500 0.6286
```


# 2
For LiMnF4, a cell relaxed with GGA+U gives the computed powder XRD pattern in this record (Cu Kα, 1.54184 Å).

Largest 12 diffraction maxima, sorted by position, 2θ = 15–90°:
2θ/deg  I (rel.)  hkl
16.19  100  0 1 1
20.11  42  0 2 0
21.06  34  1 0 1
29.28  44  1 2 1
32.36  15  1 1 2
36.97  20  1 2 2
37.73  13  2 1 1
43.72  33  1 3 2
53.46  13  2 1 3
54.08  11  2 4 0
59.61  16  3 1 2
61.39  10  1 5 2

Structure:
```
data_LiMnF4
_chemical_formula_sum 'Li4 Mn4 F16'
_symmetry_space_group_name_H-M 'P n n a'
_symmetry_Int_Tables_number 52
_cell_length_a 5.2979
_cell_length_b 8.8299
_cell_length_c 6.9770
_cell_angle_alpha 90.00
_cell_angle_beta 90.00
_cell_angle_gamma 90.00
loop_
_symmetry_equiv_pos_as_xyz
'x,y,z'
'-x,-y,-z'
'-x+1/2,-y,z'
'x+1/2,y,-z'
'x,-y+1/2,-z+1/2'
'-x,y+1/2,z+1/2'
'-x+1/2,y+1/2,-z+1/2'
'x+1/2,-y+1/2,z+1/2'
loop_
_atom_site_label
_atom_site_fract_x
_atom_site_fract_y
_atom_site_fract_z
Li1 0.1859 0.2500 0.2500
Mn1 0.2500 0.0000 0.6302
F1 0.0667 0.6012 0.6876
F2 0.1034 0.6286 0.0673
```


# 3
For MgTiMnO4, a cell relaxed with GGA+U gives the computed powder XRD pattern in this record (Cu Kα, 1.54184 Å).

Largest 12 diffraction maxima, sorted by position, 2θ = 15–90°:
2θ/deg  I (rel.)  hkl
22.98  36  0 1 1
24.87  100  1 0 1
34.69  40  0 1 3
36.56  91  0 0 4
42.96  59  0 2 0
47.30  43  2 0 0
50.28  25  1 2 1
52.26  42  1 0 5
57.65  21  0 2 4
61.22  17  2 0 4
65.80  31  2 2 0
69.88  31  1 2 5

Structure:
```
data_MgTiMnO4
_chemical_formula_sum 'Mg2 Ti2 Mn2 O8'
_symmetry_space_group_name_H-M 'I m m 2'
_symmetry_Int_Tables_number 44
_cell_length_a 3.8436
_cell_length_b 4.2106
_cell_length_c 9.8314
_cell_angle_alpha 90.00
_cell_angle_beta 90.00
_cell_angle_gamma 90.00
loop_
_symmetry_equiv_pos_as_xyz
'x,y,z'
'-x,-y,z'
'-x,y,z'
'x,-y,z'
'x+1/2,y+1/2,z+1/2'
'-x+1/2,-y+1/2,z+1/2'
'-x+1/2,y+1/2,z+1/2'
'x+1/2,-y+1/2,z+1/2'
loop_
_atom_site_label
_atom_site_fract_x
_atom_site_fract_y
_atom_site_fract_z
Mg1 0.0000 0.0000 0.0000
Ti1 0.0000 0.5000 0.2182
Mn1 0.0000 0.0000 0.4242
O1 0.0000 0.0000 0.2089
O2 0.0000 0.0000 0.7402
O3 0.0000 0.5000 0.0185
O4 0.0000 0.5000 0.4308
```


# 4
For NbFeNiO4F2, a cell relaxed with GGA+U gives the computed powder XRD pattern in this record (Cu Kα, 1.54184 Å).

Largest 12 diffraction maxima, sorted by position, 2θ = 15–90°:
2θ/deg  I (rel.)  hkl
26.33  82  1 0 -3
26.65  78  1 0 3
34.53  100  1 1 0
37.73  11  2 0 0
39.42  17  1 1 -3
51.95  52  2 1 -3
52.31  48  2 1 3
54.21  14  2 0 -6
54.89  13  2 0 6
59.65  13  0 2 0
66.05  17  3 1 0
66.31  26  0 1 9

Structure:
```
data_NbFeNiO4F2
_chemical_formula_sum 'Nb2 Fe2 Ni2 O8 F4'
_symmetry_space_group_name_H-M 'P 1 m 1'
_symmetry_Int_Tables_number 6
_cell_length_a 4.7689
_cell_length_b 3.1003
_cell_length_c 14.2457
_cell_angle_alpha 90.00
_cell_angle_beta 90.66
_cell_angle_gamma 90.00
loop_
_symmetry_equiv_pos_as_xyz
'x,y,z'
'x,-y,z'
loop_
_atom_site_label
_atom_site_fract_x
_atom_site_fract_y
_atom_site_fract_z
Nb1 0.0000 0.0000 0.0000
Nb2 0.0034 0.0000 0.3324
Fe1 0.4996 0.5000 0.1689
Fe2 0.5010 0.5000 0.8372
Ni1 0.4886 0.5000 0.4891
Ni2 0.9894 0.0000 0.6584
O1 0.1765 0.5000 0.9257
O2 0.1850 0.5000 0.2597
O3 0.2895 0.0000 0.4258
O4 0.2917 0.0000 0.0917
O5 0.6813 0.0000 0.8937
O6 0.6918 0.0000 0.2239
O7 0.7949 0.5000 0.0559
O8 0.8012 0.5000 0.3894
F1 0.1900 0.5000 0.5986
F2 0.2946 0.0000 0.7627
F3 0.6893 0.0000 0.5603
F4 0.7849 0.5000 0.7276
```


Copy entry 1 word for word.
For MnZn2SbO6, a cell relaxed with GGA+U gives the computed powder XRD pattern in this record (Cu Kα, 1.54184 Å).

Largest 12 diffraction maxima, sorted by position, 2θ = 15–90°:
2θ/deg  I (rel.)  hkl
28.68  16  1 2 0
32.74  100  1 2 -1
33.47  44  0 0 2
33.77  41  2 0 0
33.91  81  1 2 1
46.52  23  2 0 -2
47.42  24  0 4 0
58.61  22  1 2 -3
59.00  21  3 2 -1
59.28  20  0 4 2
59.48  21  2 4 0
60.85  18  1 2 3

Structure:
```
data_MnZn2SbO6
_chemical_formula_sum 'Mn2 Zn4 Sb2 O12'
_symmetry_space_group_name_H-M 'P 1 21/m 1'
_symmetry_Int_Tables_number 11
_cell_length_a 5.3207
_cell_length_b 7.6683
_cell_length_c 5.3675
_cell_angle_alpha 90.00
_cell_angle_beta 93.86
_cell_angle_gamma 90.00
loop_
_symmetry_equiv_pos_as_xyz
'x,y,z'
'-x,-y,-z'
'-x,y+1/2,-z'
'x,-y+1/2,z'
loop_
_atom_site_label
_atom_site_fract_x
_atom_site_fract_y
_atom_site_fract_z
Mn1 0.0000 0.0000 0.0000
Zn1 0.0140 0.2500 0.5410
Zn2 0.4470 0.7500 0.9786
Sb1 0.5000 0.0000 0.5000
O1 0.0816 0.7500 0.1009
O2 0.1922 0.5706 0.6556
O3 0.3225 0.0634 0.1696
O4 0.4105 0.2500 0.6286
```